(1)
Nd2Mg3Cu4: computed X-ray diffraction stick pattern (Cu Kα (λ = 1.5418 Å)), based on a cell relaxed with GGA-PBE.
Peak positions follow from Bragg's law for the DFT cell and can differ from measured ones.

Cell and atoms:
```
18
Lattice="2.976 -8.496 0.000 2.976 8.496 0.000 0.000 0.000 7.186" Properties=species:S:1:pos:R:3 pbc="T T T"
Nd 2.976 6.782 6.520
Nd 2.976 1.714 2.927
Nd 2.976 -1.714 4.259
Nd 2.976 -6.782 0.666
Mg 0.000 0.000 3.593
Mg 1.488 4.007 5.390
Mg 1.488 -4.007 1.797
Mg 2.976 0.000 0.000
Mg 4.464 4.007 5.390
Mg 4.464 -4.007 1.797
Cu 2.976 5.815 3.640
Cu 1.488 1.257 5.390
Cu 1.488 -1.257 1.797
Cu 2.976 2.681 0.047
Cu 2.976 -2.681 7.139
Cu 4.464 1.257 5.390
Cu 4.464 -1.257 1.797
Cu 2.976 -5.815 3.546
```

Most intense lines, 10° ≤ 2θ ≤ 90°, in order of falling intensity:
2θ 32.81, I = 100
2θ 39.05, I = 85
2θ 34.28, I = 76
2θ 20.91, I = 75
2θ 39.31, I = 74
2θ 33.14, I = 67
2θ 36.87, I = 40
2θ 29.51, I = 32

***

(2)
Nd3Mg2Cu4: computed X-ray diffraction stick pattern (Cu Kα (λ = 1.5418 Å)), based on a cell relaxed with GGA-PBE.
Peak positions follow from Bragg's law for the DFT cell and can differ from measured ones.

Cell and atoms:
```
9
Lattice="5.017 -2.216 0.000 5.017 2.216 0.000 -0.685 0.000 8.930" Properties=species:S:1:pos:R:3 pbc="T T T"
Nd 0.000 0.000 0.000
Nd 3.274 0.000 5.510
Nd 6.077 0.000 3.420
Mg 3.105 0.000 1.968
Mg 6.245 0.000 6.962
Cu 0.302 0.000 5.599
Cu 2.183 0.000 8.271
Cu 7.167 0.000 0.659
Cu 9.048 0.000 3.332
```

Most intense lines, 10° ≤ 2θ ≤ 90°, in order of falling intensity:
2θ 24.40, I = 100
2θ 38.07, I = 97
2θ 33.63, I = 86
2θ 38.26, I = 70
2θ 40.72, I = 53
2θ 29.30, I = 42
2θ 30.02, I = 36
2θ 47.12, I = 32

***

(3)
Nd2MgCu: computed X-ray diffraction stick pattern (Cu Kα (λ = 1.5418 Å)), based on a cell relaxed with GGA-PBE.
Peak positions follow from Bragg's law for the DFT cell and can differ from measured ones.

Cell and atoms:
```
4
Lattice="0.000 3.745 3.745 3.745 0.000 3.745 3.745 3.745 0.000" Properties=species:S:1:pos:R:3 pbc="T T T"
Nd 1.872 1.872 1.872
Nd 5.617 5.617 5.617
Mg 0.000 0.000 0.000
Cu 3.745 3.745 3.745
```

Most intense lines, 10° ≤ 2θ ≤ 90°, in order of falling intensity:
2θ 33.85, I = 100
2θ 60.56, I = 36
2θ 23.76, I = 31
2θ 48.63, I = 18
2θ 81.23, I = 15
2θ 54.81, I = 13
2θ 71.22, I = 11
2θ 41.78, I = 10

***

(4)
NdMg2CuSe4: computed X-ray diffraction stick pattern (Cu Kα (λ = 1.5418 Å)), based on a cell relaxed with GGA-PBE.
Peak positions follow from Bragg's law for the DFT cell and can differ from measured ones.

Cell and atoms:
```
16
Lattice="1.993 -6.554 0.000 1.993 6.554 0.000 0.000 0.000 13.516" Properties=species:S:1:pos:R:3 pbc="T T T"
Nd 1.993 4.947 10.137
Nd 1.993 -4.947 3.379
Mg 1.993 1.639 7.578
Mg 1.993 1.639 12.696
Mg 1.993 -1.639 0.820
Mg 1.993 -1.639 5.938
Cu 1.993 4.574 3.379
Cu 1.993 -4.574 10.137
Se 0.000 0.000 0.000
Se 0.000 0.000 6.758
Se 1.993 2.952 1.547
Se 1.993 2.952 5.211
Se 1.993 0.601 10.137
Se 1.993 -0.601 3.379
Se 1.993 -2.952 8.305
Se 1.993 -2.952 11.969
```

Most intense lines, 10° ≤ 2θ ≤ 90°, in order of falling intensity:
2θ 33.19, I = 100
2θ 31.08, I = 70
2θ 13.10, I = 49
2θ 29.75, I = 46
2θ 45.52, I = 37
2θ 46.14, I = 32
2θ 30.72, I = 30
2θ 30.31, I = 30

***

(5)
NdMg2Cu2Si: computed X-ray diffraction stick pattern (Cu Kα (λ = 1.5418 Å)), based on a cell relaxed with GGA-PBE.
Peak positions follow from Bragg's law for the DFT cell and can differ from measured ones.

Cell and atoms:
```
6
Lattice="-2.388 2.388 5.571 2.388 -2.388 5.571 2.388 2.388 -5.571" Properties=species:S:1:pos:R:3 pbc="T T T"
Nd 0.000 0.000 0.000
Mg 2.388 0.000 2.785
Mg 0.000 2.388 2.785
Cu 0.000 0.000 3.381
Cu 0.000 0.000 7.761
Si 0.000 0.000 5.571
```

Most intense lines, 10° ≤ 2θ ≤ 90°, in order of falling intensity:
2θ 30.49, I = 100
2θ 26.40, I = 91
2θ 37.68, I = 69
2θ 49.22, I = 52
2θ 50.34, I = 29
2θ 61.40, I = 27
2θ 32.13, I = 26
2θ 56.56, I = 25

***

(6)
SrNdMgCu: computed X-ray diffraction stick pattern (Cu Kα (λ = 1.5418 Å)), based on a cell relaxed with GGA-PBE.
Peak positions follow from Bragg's law for the DFT cell and can differ from measured ones.

Cell and atoms:
```
4
Lattice="0.000 3.849 3.849 3.849 0.000 3.849 3.849 3.849 0.000" Properties=species:S:1:pos:R:3 pbc="T T T"
Sr 0.000 0.000 0.000
Nd 3.849 3.849 3.849
Mg 5.773 5.773 5.773
Cu 1.924 1.924 1.924
```

Most intense lines, 10° ≤ 2θ ≤ 90°, in order of falling intensity:
2θ 32.91, I = 100
2θ 58.76, I = 37
2θ 23.11, I = 21
2θ 47.23, I = 18
2θ 78.60, I = 15
2θ 69.02, I = 11
2θ 19.98, I = 11
2θ 53.22, I = 9

***

(7)
Mg6CuNi: computed X-ray diffraction stick pattern (Cu Kα (λ = 1.5418 Å)), based on a cell relaxed with GGA-PBE.
Peak positions follow from Bragg's law for the DFT cell and can differ from measured ones.

Cell and atoms:
```
8
Lattice="4.677 0.000 0.000 0.000 3.150 5.000 0.000 -3.150 5.000" Properties=species:S:1:pos:R:3 pbc="T T T"
Mg 0.000 0.000 0.000
Mg 0.000 -1.548 2.602
Mg 0.000 0.000 4.973
Mg 0.000 1.548 2.602
Mg 2.338 -1.565 5.733
Mg 2.338 1.565 5.733
Cu 2.338 0.000 8.278
Ni 2.338 0.000 3.258
```

Most intense lines, 10° ≤ 2θ ≤ 90°, in order of falling intensity:
2θ 38.89, I = 100
2θ 40.93, I = 33
2θ 38.50, I = 31
2θ 33.63, I = 23
2θ 17.74, I = 21
2θ 35.92, I = 17
2θ 69.91, I = 16
2θ 18.98, I = 15

***

(8)
Mg4CuNi: computed X-ray diffraction stick pattern (Cu Kα (λ = 1.5418 Å)), based on a cell relaxed with GGA-PBE.
Peak positions follow from Bragg's law for the DFT cell and can differ from measured ones.

Cell and atoms:
```
18
Lattice="5.236 0.000 0.000 -2.618 4.535 0.000 0.000 0.000 13.365" Properties=species:S:1:pos:R:3 pbc="T T T"
Mg -1.309 2.267 0.692
Mg -1.309 2.267 3.763
Mg 0.000 1.463 6.683
Mg -1.351 3.803 11.138
Mg 1.267 0.732 2.228
Mg 2.618 0.000 5.147
Mg 2.618 0.000 8.218
Mg 1.309 2.267 9.602
Mg 1.309 2.267 12.673
Mg 1.351 3.803 2.228
Mg 3.969 0.732 11.138
Mg 2.618 3.072 6.683
Cu -1.309 2.267 8.910
Cu 2.618 0.000 0.000
Cu 1.309 2.267 4.455
Ni 0.000 0.000 0.000
Ni 0.000 0.000 4.455
Ni 0.000 0.000 8.910
```

Most intense lines, 10° ≤ 2θ ≤ 90°, in order of falling intensity:
2θ 44.85, I = 100
2θ 39.75, I = 52
2θ 19.93, I = 50
2θ 39.12, I = 37
2θ 36.87, I = 36
2θ 20.68, I = 30
2θ 23.71, I = 18
2θ 40.50, I = 18

***

(9)
MgCuNi2: computed X-ray diffraction stick pattern (Cu Kα (λ = 1.5418 Å)), based on a cell relaxed with GGA-PBE.
Peak positions follow from Bragg's law for the DFT cell and can differ from measured ones.

Cell and atoms:
```
4
Lattice="-1.866 1.866 3.591 1.866 -1.866 3.591 1.866 1.866 -3.591" Properties=species:S:1:pos:R:3 pbc="T T T"
Mg 0.000 0.000 0.000
Cu 0.000 1.866 1.796
Ni 1.866 0.000 1.796
Ni 0.000 0.000 3.591
```

Most intense lines, 10° ≤ 2θ ≤ 90°, in order of falling intensity:
2θ 42.50, I = 100
2θ 48.79, I = 33
2θ 86.86, I = 22
2θ 73.13, I = 18
2θ 50.85, I = 14
2θ 26.92, I = 11
2θ 90.00, I = 10
2θ 71.48, I = 9

***

(10)
Mg3CuNi9P2: computed X-ray diffraction stick pattern (Cu Kα (λ = 1.5418 Å)), based on a cell relaxed with GGA-PBE.
Peak positions follow from Bragg's law for the DFT cell and can differ from measured ones.

Cell and atoms:
```
15
Lattice="5.688 0.000 0.000 -2.844 4.926 0.000 0.000 0.000 8.246" Properties=species:S:1:pos:R:3 pbc="T T T"
Mg 0.000 0.000 0.000
Mg 0.000 3.284 5.865
Mg 2.844 1.642 2.380
Cu 0.000 0.000 4.123
Ni -1.422 2.463 0.000
Ni 0.000 1.372 2.178
Ni -1.656 4.240 2.178
Ni 1.188 0.686 6.067
Ni 2.844 0.000 0.000
Ni 1.422 2.463 0.000
Ni 1.656 4.240 2.178
Ni 4.500 0.686 6.067
Ni 2.844 3.554 6.067
P 0.000 3.284 1.418
P 2.844 1.642 6.828
```

Most intense lines, 10° ≤ 2θ ≤ 90°, in order of falling intensity:
2θ 42.77, I = 100
2θ 38.13, I = 62
2θ 21.01, I = 59
2θ 10.73, I = 38
2θ 49.70, I = 28
2θ 43.92, I = 26
2θ 18.01, I = 24
2θ 65.66, I = 22

***

(11)
MgCuNiPd: computed X-ray diffraction stick pattern (Cu Kα (λ = 1.5418 Å)), based on a cell relaxed with GGA-PBE.
Peak positions follow from Bragg's law for the DFT cell and can differ from measured ones.

Cell and atoms:
```
4
Lattice="0.000 3.013 3.013 3.013 0.000 3.013 3.013 3.013 0.000" Properties=species:S:1:pos:R:3 pbc="T T T"
Mg 0.000 0.000 0.000
Cu 3.013 3.013 3.013
Ni 4.519 4.519 4.519
Pd 1.506 1.506 1.506
```

Most intense lines, 10° ≤ 2θ ≤ 90°, in order of falling intensity:
2θ 42.43, I = 100
2θ 77.63, I = 31
2θ 61.56, I = 16
2θ 25.61, I = 14
2θ 29.65, I = 12
2θ 50.22, I = 6
2θ 69.80, I = 4
2θ 52.62, I = 3

***

(12)
Pr2MgCu3Ni12: computed X-ray diffraction stick pattern (Cu Kα (λ = 1.5418 Å)), based on a cell relaxed with GGA-PBE.
Peak positions follow from Bragg's law for the DFT cell and can differ from measured ones.

Cell and atoms:
```
18
Lattice="4.229 2.441 4.051 -4.229 2.441 4.051 0.000 -4.883 4.051" Properties=species:S:1:pos:R:3 pbc="T T T"
Pr 0.000 0.000 2.565
Pr 0.000 0.000 9.590
Mg 0.000 0.000 6.077
Cu -2.114 -1.221 4.051
Cu -2.114 1.221 8.103
Cu 0.000 2.441 4.051
Ni 0.000 -2.721 3.321
Ni -2.357 1.361 3.321
Ni -2.036 -1.175 6.549
Ni 0.000 -2.351 5.606
Ni -2.036 1.175 5.606
Ni -2.357 -1.361 8.833
Ni 2.357 1.361 3.321
Ni 2.036 -1.175 6.549
Ni 0.000 2.351 6.549
Ni 2.036 1.175 5.606
Ni 2.357 -1.361 8.833
Ni 0.000 2.721 8.833
```

Most intense lines, 10° ≤ 2θ ≤ 90°, in order of falling intensity:
2θ 42.77, I = 100
2θ 44.75, I = 82
2θ 35.64, I = 27
2θ 63.62, I = 24
2θ 79.72, I = 22
2θ 30.56, I = 19
2θ 28.45, I = 14
2θ 43.27, I = 13